Simulated PXRD pattern
Compound: Sr2AlCoCu2O7
Radiation: λ = 1.5418 Å (Cu Kα)
Structure: DFT lattice parameters and positions (GGA+U)

Structure:
Cell: 23.5843 5.3859 5.3176 Å, 90.00 103.03 90.00°
Space group Cc (No. 9)
Inequivalent atoms, fractional coordinates:
Sr 0.0000 0.2381 0.0000 x4
Sr 0.1987 0.2383 0.1983 x4
Al 0.3493 0.2505 0.3570 x4
Co 0.0993 0.3136 0.5651 x4
Cu 0.2902 0.2506 0.7978 x4
Cu 0.4085 0.2491 0.9171 x4
O 0.0229 0.2244 0.5410 x4
O 0.0993 0.3529 0.2016 x4
O 0.1758 0.2243 0.6937 x4
O 0.2943 0.4264 0.1262 x4
O 0.2950 0.0725 0.4802 x4
O 0.4044 0.0738 0.2373 x4
O 0.4037 0.4278 0.5899 x4

The 10 most intense peaks (2θ from 10° to 90°), in order of falling intensity:
2θ (°), I (rel.), hkl
33.28, 100, 0 2 0
28.24, 36, 5 1 -1
33.71, 36, 2 0 -2
48.09, 30, 2 2 -2
39.22, 27, 10 0 0
39.39, 19, 9 1 -1
63.72, 15, 12 2 -2
59.47, 14, 5 3 1
60.02, 14, 3 1 3
52.34, 11, 10 2 0